# Li9Mn2Co5O16
Calculated XRD peak list, Cu Kα. Input: a structure optimized by DFT (PBE+U).

Top 12 peaks for 10° ≤ 2θ ≤ 90°, by intensity:
| hkl | 2θ (°) | I_rel |
| --- | --- | --- |
| 0 0 2 | 18.46 | 100 |
| 0 2 3 | 43.17 | 28 |
| 2 0 3 | 44.23 | 26 |
| 2 2 -2 | 44.42 | 26 |
| 2 2 6 | 63.40 | 14 |
| 0 2 1 | 35.74 | 14 |
| 2 0 1 | 36.52 | 12 |
| 2 2 0 | 36.66 | 12 |
| 2 0 -3 | 48.00 | 9 |
| 2 -2 0 | 63.68 | 7 |
| 2 2 2 | 38.05 | 7 |
| 2 4 1 | 63.91 | 7 |

a = 5.7288 Å, b = 5.8292 Å, c = 9.7731 Å
α = 80.60°, β = 81.46°, γ = 60.78°
Fractional positions:
Li 0.0000 0.0000 0.0000
Li 0.1225 0.1259 0.2399
Li 0.1318 0.6311 0.2352
Li 0.3653 0.8771 0.7612
Li 0.3721 0.3752 0.7578
Li 0.6279 0.6248 0.2422
Li 0.6347 0.1229 0.2388
Li 0.8682 0.3689 0.7648
Li 0.8775 0.8741 0.7601
Mn 0.2500 0.2500 0.4997
Mn 0.7500 0.7500 0.5003
Co 0.0000 0.5000 0.0000
Co 0.2508 0.7504 0.4992
Co 0.5000 0.0000 0.0000
Co 0.5000 0.5000 0.0000
Co 0.7492 0.2496 0.5008
O 0.0572 0.5826 0.6103
O 0.0672 0.0551 0.6087
O 0.1735 0.2125 0.8884
O 0.1936 0.6640 0.8884
O 0.3025 0.3189 0.1185
O 0.3300 0.8150 0.1139
O 0.4341 0.4436 0.3921
O 0.4466 0.9184 0.3876
O 0.5534 0.0816 0.6124
O 0.5659 0.5564 0.6079
O 0.6700 0.1850 0.8861
O 0.6975 0.6811 0.8815
O 0.8064 0.3360 0.1116
O 0.8265 0.7875 0.1116
O 0.9328 0.9449 0.3913
O 0.9428 0.4174 0.3897